[1]
# K3Tl8In3
Computed powder X-ray diffraction pattern, Cu Kα (weighted mean of Kα1 and Kα2). Input: DFT lattice parameters and positions (GGA-PBE).
Lines closer than 0.1° are merged.

abc: 9.871 9.871 9.871
angles: 148.94 107.31 81.13
Element x y z (fractional)
K: 0.000 0.000 0.000
K: 0.290 0.290 0.000
K: 0.710 0.710 0.000
Tl: 0.013 0.649 0.363
Tl: 0.146 0.858 0.288
Tl: 0.286 0.649 0.637
Tl: 0.431 0.142 0.288
Tl: 0.569 0.858 0.712
Tl: 0.714 0.351 0.363
Tl: 0.854 0.142 0.712
Tl: 0.987 0.351 0.637
In: 0.334 0.500 0.834
In: 0.500 0.000 0.500
In: 0.666 0.500 0.166

Main lines, low angle first (2θ from 10° to 90°):
| 2θ/deg | Rel. int. |
| --- | --- |
| 15.1 | 552 |
| 28.4 | 500 |
| 28.9 | 739 |
| 33.9 | 718 |
| 35.6 | 587 |
| 37.4 | 1000 |

***

[2]
# Tb3ErIn
Computed powder X-ray diffraction pattern, Cu Kα (weighted mean of Kα1 and Kα2). Input: DFT lattice parameters and positions (GGA-PBE).
Lines closer than 0.1° are merged.

abc: 12.752 12.752 4.825
angles: 90.00 90.00 158.20
Element x y z (fractional)
Tb: 0.051 0.949 0.750
Tb: 0.250 0.750 0.750
Tb: 0.447 0.553 0.750
Tb: 0.553 0.447 0.250
Tb: 0.750 0.250 0.250
Tb: 0.949 0.051 0.250
Er: 0.150 0.850 0.250
Er: 0.850 0.150 0.750
In: 0.347 0.653 0.250
In: 0.653 0.347 0.750

Main lines, low angle first (2θ from 10° to 90°):
| 2θ/deg | Rel. int. |
| --- | --- |
| 31.7 | 1000 |
| 35.9 | 179 |
| 37.3 | 325 |
| 52.7 | 238 |
| 61.9 | 146 |
| 63.8 | 269 |

***

[3]
# Ag3BrF2
Computed powder X-ray diffraction pattern, Cu Kα (weighted mean of Kα1 and Kα2). Input: DFT lattice parameters and positions (GGA-PBE).
Lines closer than 0.1° are merged.

abc: 5.342 10.688 3.881
angles: 90.00 90.00 90.00
Element x y z (fractional)
Ag: 0.250 0.050 0.198
Ag: 0.250 0.450 0.198
Ag: 0.250 0.750 0.137
Ag: 0.750 0.250 0.863
Ag: 0.750 0.550 0.802
Ag: 0.750 0.950 0.802
Br: 0.250 0.250 0.773
Br: 0.750 0.750 0.227
F: 0.250 0.586 0.661
F: 0.250 0.914 0.661
F: 0.750 0.086 0.339
F: 0.750 0.414 0.339

Main lines, low angle first (2θ from 10° to 90°):
| 2θ/deg | Rel. int. |
| --- | --- |
| 28.4 | 399 |
| 30.2 | 287 |
| 33.1 | 359 |
| 33.6 | 1000 |
| 34.2 | 970 |
| 48.6 | 688 |